Calculated X-ray powder pattern of CsCr2GaO8 for Cu Kα (weighted mean of Kα1 and Kα2), from a cell relaxed with GGA+U.
No peak broadening, texture or thermal motion is included.

a b c (Å): 5.3173 5.3173 8.5194
angles (deg): 90.00 90.00 120.00
Space group P-3 (No. 147)
Unique sites:
1 Cs 0.0000 0.0000 0.0000 x1
2 Cr 0.3333 0.6667 0.6987 x2
3 Ga 0.0000 0.0000 0.5000 x1
4 O 0.0852 0.3330 0.6382 x6
5 O 0.3333 0.6667 0.8902 x2

Main lines, in order of rising 2θ (10° ≤ 2θ ≤ 80°):
| Position (°2θ) | Rel. int. |
| --- | --- |
| 19.27 | 44 |
| 21.94 | 61 |
| 28.55 | 100 |
| 33.71 | 49 |
| 44.74 | 29 |
| 57.17 | 27 |